(1)
Computed powder diffractogram of SrIn2Ag6 for copper Kα, from a structure optimized by DFT (PBE).

The 10 most intense peaks (10 to 90 degrees two-theta), low angle first:
two_theta  intensity
28.4  66
33.2  100
36.2  57
38.6  38
39.4  47
40.4  91
44.3  24
45.8  38
46.3  24
62.7  47

Structure:
Cell lengths 8.204, 8.204, 8.204 Å; angles 152.03, 124.66, 63.13 degrees
Fractional positions:
Sr: 0.000 0.000 0.000
In: 0.364 0.864 0.500
In: 0.636 0.136 0.500
Ag: 0.005 0.317 0.688
Ag: 0.324 0.500 0.824
Ag: 0.371 0.683 0.688
Ag: 0.629 0.317 0.312
Ag: 0.676 0.500 0.176
Ag: 0.995 0.683 0.312

---

(2)
Computed powder diffractogram of Ho3ZnSi4 for copper Kα, from a structure optimized by DFT (PBE).

The 10 most intense peaks (10 to 90 degrees two-theta), low angle first:
two_theta  intensity
23.9  47
29.0  100
31.2  20
36.1  16
37.4  27
38.5  16
43.0  17
49.8  13
54.1  26
57.2  18

Structure:
Cell lengths 8.135, 8.135, 8.135 Å; angles 150.05, 138.69, 51.86 degrees
Fractional positions:
Ho: 0.000 0.000 0.000
Ho: 0.310 0.810 0.500
Ho: 0.690 0.190 0.500
Zn: 0.500 0.500 0.000
Si: 0.077 0.376 0.701
Si: 0.325 0.624 0.701
Si: 0.675 0.376 0.299
Si: 0.923 0.624 0.299

---

(3)
Computed powder diffractogram of Sc2GaAg2 for copper Kα, from a structure optimized by DFT (PBE).

The 10 most intense peaks (10 to 90 degrees two-theta), low angle first:
two_theta  intensity
12.4  29
28.5  32
35.9  79
37.7  100
38.3  23
40.3  31
41.6  39
48.0  51
65.4  24
72.2  38

Structure:
Cell lengths 7.461, 7.461, 3.129 Å; angles 90.00, 90.00, 146.16 degrees
Fractional positions:
Sc: 0.107 0.893 0.000
Sc: 0.893 0.107 0.000
Ga: 0.500 0.500 0.500
Ag: 0.307 0.693 0.500
Ag: 0.693 0.307 0.500